For SbH3SO4F6, a PBE-relaxed structure gives the theoretical PXRD pattern in this record (Cu Kα (λ = 1.5418 Å)).
Lines closer than 0.1° are merged.

Structural model:
Cell lengths 5.290, 8.180, 10.026 Å; angles 87.14, 75.39, 88.95 degrees
Positions (direct):
Sb 0.134 0.253 0.317
Sb 0.866 0.747 0.683
H 0.183 0.020 0.820
H 0.200 0.456 0.826
H 0.397 0.741 0.410
H 0.603 0.259 0.590
H 0.800 0.544 0.174
H 0.817 0.980 0.180
S 0.430 0.232 0.809
S 0.570 0.768 0.191
O 0.203 0.118 0.876
O 0.326 0.808 0.164
O 0.333 0.397 0.869
O 0.425 0.241 0.656
O 0.575 0.759 0.344
O 0.667 0.603 0.131
O 0.674 0.192 0.836
O 0.797 0.882 0.124
F 0.002 0.443 0.229
F 0.124 0.875 0.740
F 0.132 0.706 0.516
F 0.254 0.066 0.404
F 0.362 0.395 0.375
F 0.382 0.214 0.147
F 0.618 0.786 0.853
F 0.638 0.605 0.625
F 0.746 0.934 0.596
F 0.868 0.294 0.484
F 0.876 0.125 0.260
F 0.998 0.557 0.771

Principal peaks in the range 10 to 80 degrees two-theta, low angle first:
| h k l | d_spacing | Position (°2θ) | I_rel |
| --- | --- | --- | --- |
| 0 1 1 | 6.396 | 13.8 | 29 |
| 0 1 -1 | 6.107 | 14.5 | 35 |
| 1 0 1 | 5.086 | 17.4 | 42 |
| 0 0 2 | 4.846 | 18.3 | 56 |
| 1 1 0 | 4.349 | 20.4 | 35 |
| 1 -1 0 | 4.326 | 20.5 | 31 |
| 0 1 2 | 4.257 | 20.9 | 62 |
| 0 2 0 | 4.083 | 21.8 | 100 |
| -1 1 1 | 3.703 | 24.0 | 57 |
| 1 0 -2 | 3.142 | 28.4 | 36 |